For Ta3Sb2, a GGA-PBE-relaxed structure gives the simulated powder diffractogram in this record (Cu Kα).

Top 6 peaks for 10° ≤ 2θ ≤ 90°, by angle:
- 2θ 26.9, I = 44
- 2θ 38.2, I = 96
- 2θ 38.6, I = 100
- 2θ 55.5, I = 33
- 2θ 69.6, I = 33
- 2θ 69.9, I = 18

Crystal structure
a b c (Å): 4.6629 4.6629 5.7920
angles (deg): 90.00 90.00 120.00
Space group P-3m1 (No. 164)
Asymmetric unit:
Ta  0.0000  0.0000  0.0000 [1 per cell]
Ta  0.3333  0.6667  0.3165 [2 per cell]
Sb  0.3333  0.6667  0.8030 [2 per cell]